Record 1
This entry pairs a crystal structure of Cs2SiF6 with its theoretical XRD peak list. Radiation: Cu Kα. Structure: the PBE geometry in Alexandria.
Kinematic intensities with the Lorentz-polarization factor, no thermal factor.

Structural model:
```
Cs2SiF6
1.0
0.000 4.518 4.518
4.518 0.000 4.518
4.518 4.518 0.000
Cs Si F
2 1 6
direct
0.250 0.250 0.250
0.750 0.750 0.750
0.000 0.000 0.000
0.191 0.191 0.809
0.191 0.809 0.191
0.191 0.809 0.809
0.809 0.191 0.191
0.809 0.191 0.809
0.809 0.809 0.191
```

The 8 most intense peaks (15 to 90 degrees two-theta), in order of falling intensity:
- 2θ 27.93, rel. 100
- 2θ 34.38, rel. 54
- 2θ 19.65, rel. 50
- 2θ 39.91, rel. 35
- 2θ 44.86, rel. 35
- 2θ 49.41, rel. 31
- 2θ 65.31, rel. 24
- 2θ 79.35, rel. 23

Record 2
This entry pairs a crystal structure of Rb2PdNCl6 with its theoretical XRD peak list. Radiation: Cu Kα. Structure: the PBE geometry in Alexandria.
Kinematic intensities with the Lorentz-polarization factor, no thermal factor.

Structural model:
```
Rb2PdNCl6
1.0
-3.876 3.876 4.547
3.876 -3.876 4.547
3.876 3.876 -4.547
Rb Pd N Cl
2 1 1 6
direct
0.250 0.750 0.500
0.750 0.250 0.500
0.000 0.000 0.000
0.500 0.500 0.000
0.214 0.214 0.428
0.214 0.786 0.000
0.281 0.281 0.000
0.719 0.719 0.000
0.786 0.214 0.000
0.786 0.786 0.572
```

The 8 most intense peaks (15 to 90 degrees two-theta), in order of falling intensity:
- 2θ 32.67, rel. 100
- 2θ 25.45, rel. 90
- 2θ 15.02, rel. 72
- 2θ 30.30, rel. 65
- 2θ 22.94, rel. 59
- 2θ 52.28, rel. 44
- 2θ 41.87, rel. 38
- 2θ 46.88, rel. 30

Record 3
This entry pairs a crystal structure of La4GeO8 with its theoretical XRD peak list. Radiation: Cu Kα. Structure: the PBE geometry in Alexandria.
Kinematic intensities with the Lorentz-polarization factor, no thermal factor.

Structural model:
```
La4GeO8
1.0
19.146 0.000 0.000
0.000 7.662 0.000
0.000 0.000 5.779
La Ge O
16 4 32
direct
0.016 0.250 0.017
0.100 0.006 0.521
0.100 0.494 0.521
0.216 0.250 0.019
0.284 0.750 0.519
0.400 0.506 0.021
0.400 0.994 0.021
0.484 0.750 0.517
0.516 0.250 0.483
0.600 0.006 0.979
0.600 0.494 0.979
0.716 0.250 0.481
0.784 0.750 0.981
0.900 0.506 0.479
0.900 0.994 0.479
0.984 0.750 0.983
0.182 0.750 0.978
0.318 0.250 0.478
0.682 0.750 0.522
0.818 0.250 0.022
0.007 0.520 0.261
0.007 0.980 0.261
0.103 0.750 0.806
0.119 0.250 0.264
0.121 0.250 0.765
0.165 0.750 0.283
0.227 0.563 0.868
0.227 0.937 0.868
0.273 0.063 0.368
0.273 0.437 0.368
0.335 0.250 0.783
0.379 0.750 0.265
0.381 0.750 0.764
0.397 0.250 0.306
0.493 0.020 0.761
0.493 0.480 0.761
0.507 0.520 0.239
0.507 0.980 0.239
0.603 0.750 0.694
0.619 0.250 0.236
0.621 0.250 0.735
0.665 0.750 0.217
0.727 0.563 0.632
0.727 0.937 0.632
0.773 0.063 0.132
0.773 0.437 0.132
0.835 0.250 0.717
0.879 0.750 0.235
0.881 0.750 0.736
0.897 0.250 0.194
0.993 0.020 0.739
0.993 0.480 0.739
```

The 8 most intense peaks (15 to 90 degrees two-theta), in order of falling intensity:
- 2θ 27.95, rel. 100
- 2θ 28.34, rel. 100
- 2θ 43.55, rel. 45
- 2θ 55.99, rel. 30
- 2θ 30.95, rel. 29
- 2θ 47.47, rel. 26
- 2θ 29.87, rel. 24
- 2θ 48.71, rel. 19

Record 4
This entry pairs a crystal structure of TlIn2HgI6 with its theoretical XRD peak list. Radiation: Cu Kα. Structure: the PBE geometry in Alexandria.
Kinematic intensities with the Lorentz-polarization factor, no thermal factor.

Structural model:
```
TlIn2HgI6
1.0
8.149 -8.409 0.000
8.149 8.409 0.000
-3.733 0.000 8.648
Tl In Hg I
2 4 2 12
direct
0.012 0.988 0.750
0.988 0.012 0.250
0.126 0.333 0.670
0.333 0.126 0.170
0.667 0.874 0.830
0.874 0.667 0.330
0.407 0.593 0.250
0.593 0.407 0.750
0.103 0.801 0.445
0.134 0.575 0.787
0.199 0.897 0.055
0.227 0.261 0.405
0.261 0.227 0.905
0.425 0.866 0.713
0.575 0.134 0.287
0.739 0.773 0.095
0.773 0.739 0.595
0.801 0.103 0.945
0.866 0.425 0.213
0.897 0.199 0.555
```

The 8 most intense peaks (15 to 90 degrees two-theta), in order of falling intensity:
- 2θ 16.13, rel. 100
- 2θ 24.79, rel. 82
- 2θ 26.07, rel. 69
- 2θ 21.94, rel. 68
- 2θ 20.98, rel. 65
- 2θ 32.80, rel. 42
- 2θ 23.79, rel. 41
- 2θ 42.28, rel. 36